For Ce2ThHg6, a crystal structure in Alexandria, relaxed with GGA-PBE gives the simulated PXRD pattern in this record (Cu Ka).
Intensities are scaled so that the largest is 100.

a = 6.1162 Å, b = 6.1162 Å, c = 6.1162 Å
α = 92.14°, β = 92.14°, γ = 92.14°
Fractional coordinates of all 9 atoms:
Ce1 0.1652 0.1652 0.1652
Ce2 0.8348 0.8348 0.8348
Th1 0.5000 0.5000 0.5000
Hg1 0.0000 0.3333 0.6667
Hg2 0.0000 0.6667 0.3333
Hg3 0.3333 0.0000 0.6667
Hg4 0.3333 0.6667 0.0000
Hg5 0.6667 0.0000 0.3333
Hg6 0.6667 0.3333 0.0000

Largest 10 diffraction maxima, sorted by position, 2θ from 5° to 70°:
2θ 26.23, d 3.397, rel. 12
2θ 33.31, d 2.690, rel. 98
2θ 35.29, d 2.543, rel. 100
2θ 44.50, d 2.036, rel. 18
2θ 49.31, d 1.848, rel. 33
2θ 53.99, d 1.698, rel. 10
2θ 62.09, d 1.495, rel. 33
2θ 63.35, d 1.468, rel. 19
2θ 66.16, d 1.412, rel. 33
2θ 69.78, d 1.348, rel. 5